Starting from a crystal structure in Alexandria, relaxed with GGA-PBE, the X-ray powder pattern of Pr2PdPt2 was simulated for Cu Kα (λ = 1.5418 Å).
Neutral-atom scattering factors, no anomalous dispersion.

Cell and atoms:
```
20
Lattice="7.6615 0.0000 0.0000 0.0000 7.6615 0.0000 0.0000 0.0000 7.9119" Properties=species:S:1:pos:R:3 pbc="T T T"
Pr 1.3334 2.4975 0.0000
Pr 1.3333 2.4974 3.9560
Pr 2.4975 6.3281 0.0000
Pr 2.4974 6.3282 3.9560
Pr 5.1640 1.3334 0.0000
Pr 5.1641 1.3333 3.9560
Pr 6.3281 5.1640 0.0000
Pr 6.3282 5.1641 3.9560
Pd 0.0000 0.0000 1.9816
Pd 0.0000 0.0000 5.9303
Pd 3.8308 3.8308 1.9743
Pd 3.8308 3.8308 5.9376
Pt 0.9941 4.8249 1.9780
Pt 0.9941 4.8249 5.9339
Pt 2.8366 0.9941 1.9780
Pt 2.8366 0.9941 5.9339
Pt 4.8249 6.6674 1.9780
Pt 4.8249 6.6674 5.9339
Pt 6.6674 2.8366 1.9780
Pt 6.6674 2.8366 5.9339
```

Main lines, in order of rising 2θ (2θ = 15–90°):
2theta	d (Å)	I/Imax
32.54	2.752	15.8
34.63	2.590	100.0
37.11	2.423	34.1
45.88	1.978	14.7
60.42	1.532	16.7
70.32	1.339	12.6

Starting from a crystal structure in Alexandria, relaxed with GGA-PBE, the X-ray powder pattern of Pm6SnRh3 was simulated for Cu Kα (λ = 1.5418 Å).
Neutral-atom scattering factors, no anomalous dispersion.

Cell and atoms:
```
20
Lattice="5.6826 -6.5945 0.0000 5.6826 6.5945 0.0000 0.0000 0.0000 7.2011" Properties=species:S:1:pos:R:3 pbc="T T T"
Pm 3.1553 2.9472 2.4983
Pm 5.6826 5.6753 3.6005
Pm 5.6826 3.9115 0.1796
Pm 3.9548 0.4010 6.9104
Pm 3.9548 -0.4010 3.3098
Pm 8.2099 2.9472 2.4983
Pm 3.1553 -2.9472 6.0988
Pm 7.4104 0.4010 6.9104
Pm 7.4104 -0.4010 3.3098
Pm 5.6826 -3.9115 3.7801
Pm 5.6826 -5.6753 0.0000
Pm 8.2099 -2.9472 6.0988
Sn 5.6826 2.4177 4.6032
Sn 5.6826 -2.4177 1.0027
Rh 1.9578 1.0346 4.9085
Rh 1.9578 -1.0346 1.3080
Rh 5.6826 1.6507 1.8835
Rh 5.6826 -1.6507 5.4840
Rh 9.4075 1.0346 4.9085
Rh 9.4075 -1.0346 1.3080
```

Main lines, in order of rising 2θ (2θ = 15–90°):
2theta	d (Å)	I/Imax
29.80	2.998	64.4
32.42	2.762	39.6
33.62	2.666	65.0
33.80	2.652	44.6
34.37	2.609	37.0
35.05	2.560	100.0

Starting from a crystal structure in Alexandria, relaxed with GGA-PBE, the X-ray powder pattern of Sm2Pd5Au12 was simulated for Cu Kα (λ = 1.5418 Å).
Neutral-atom scattering factors, no anomalous dispersion.

Cell and atoms:
```
19
Lattice="4.7595 2.7479 4.6777 -4.7595 2.7479 4.6777 0.0000 -5.4958 4.6777" Properties=species:S:1:pos:R:3 pbc="T T T"
Sm 0.0000 0.0000 2.7048
Sm 0.0000 0.0000 11.3281
Pd -2.3798 -1.3740 4.6777
Pd 0.0000 0.0000 5.5871
Pd -2.3798 1.3740 9.3553
Pd 0.0000 2.7479 4.6776
Pd 0.0000 0.0000 8.4459
Au 0.0000 -2.7606 4.4727
Au -2.3908 1.3803 4.4727
Au -1.4480 -2.5080 7.0165
Au -2.8959 0.0000 7.0165
Au -2.3908 -1.3803 9.5603
Au 1.4480 -2.5079 7.0165
Au -1.4480 2.5079 7.0165
Au 2.3908 1.3803 4.4727
Au 2.8959 0.0000 7.0165
Au 1.4480 2.5079 7.0165
Au 2.3908 -1.3803 9.5603
Au 0.0000 2.7606 9.5603
```

Main lines, in order of rising 2θ (2θ = 15–90°):
2theta	d (Å)	I/Imax
18.64	4.760	28.4
32.59	2.748	28.8
37.80	2.380	36.7
37.98	2.369	100.0
38.49	2.339	33.4
42.63	2.121	77.8

Starting from a crystal structure in Alexandria, relaxed with GGA-PBE, the X-ray powder pattern of CaEuNiAg was simulated for Cu Kα (λ = 1.5418 Å).
Neutral-atom scattering factors, no anomalous dispersion.

Cell and atoms:
```
16
Lattice="7.2574 0.0000 0.0000 0.0000 7.2574 0.0000 0.0000 0.0000 7.2574" Properties=species:S:1:pos:R:3 pbc="T T T"
Ca 0.0000 0.0000 0.0000
Ca 0.0000 3.6287 3.6287
Ca 3.6287 0.0000 3.6287
Ca 3.6287 3.6287 0.0000
Eu 0.0000 0.0000 3.6287
Eu 0.0000 3.6287 0.0000
Eu 3.6287 0.0000 0.0000
Eu 3.6287 3.6287 3.6287
Ni 1.8143 1.8143 5.4430
Ni 1.8143 5.4430 1.8143
Ni 5.4430 1.8143 1.8143
Ni 5.4430 5.4430 5.4430
Ag 1.8143 1.8143 1.8143
Ag 1.8143 5.4430 5.4430
Ag 5.4430 1.8143 5.4430
Ag 5.4430 5.4430 1.8143
```

Main lines, in order of rising 2θ (2θ = 15–90°):
2theta	d (Å)	I/Imax
21.20	4.190	23.3
34.97	2.566	100.0
41.26	2.188	13.3
50.29	1.814	17.2
62.72	1.481	34.4
84.42	1.147	14.8

Starting from a crystal structure in Alexandria, relaxed with GGA-PBE, the X-ray powder pattern of Ca2Sn9O13 was simulated for Cu Kα (λ = 1.5418 Å).
Neutral-atom scattering factors, no anomalous dispersion.

Cell and atoms:
```
24
Lattice="5.5529 -1.6408 0.0000 5.5529 1.6408 0.0000 -3.7128 0.0000 23.1871" Properties=species:S:1:pos:R:3 pbc="T T T"
Ca 1.5939 0.0000 7.0450
Ca 5.7992 0.0000 16.1420
Sn 0.0000 0.0000 0.0000
Sn -0.3278 0.0000 12.4429
Sn -0.3234 0.0000 21.2714
Sn 4.1698 0.0000 4.9909
Sn 2.7498 0.0000 14.4685
Sn 4.6433 0.0000 8.7186
Sn 3.2233 0.0000 18.1961
Sn 7.7165 0.0000 1.9157
Sn 7.7209 0.0000 10.7441
O -1.2843 0.0000 14.4982
O 0.7381 0.0000 1.9531
O -1.0569 0.0000 17.4365
O 0.3759 0.0000 9.1379
O 4.1680 0.0000 0.1759
O 1.9662 0.0000 16.4369
O 3.6965 0.0000 11.5935
O 5.4269 0.0000 6.7502
O 3.2251 0.0000 23.0111
O 7.0172 0.0000 14.0492
O 8.4500 0.0000 5.7505
O 6.6550 0.0000 21.2339
O 8.6774 0.0000 8.6889
```

Main lines, in order of rising 2θ (2θ = 15–90°):
2theta	d (Å)	I/Imax
20.46	4.341	47.2
27.08	3.293	100.0
29.78	3.000	33.0
32.59	2.748	44.4
36.59	2.456	36.1
36.80	2.442	58.1

Starting from a crystal structure in Alexandria, relaxed with GGA-PBE, the X-ray powder pattern of TiH2O2 was simulated for Cu Kα (λ = 1.5418 Å).
Neutral-atom scattering factors, no anomalous dispersion.

Cell and atoms:
```
10
Lattice="4.8562 0.0000 0.0000 0.0000 5.7591 0.0000 0.0000 0.0000 3.0371" Properties=species:S:1:pos:R:3 pbc="T T T"
Ti 0.0000 0.0000 0.0000
Ti 2.4281 2.8795 1.5186
H 0.0861 1.9745 1.5186
H 2.3420 4.8540 0.0000
H 2.5142 0.9051 0.0000
H 4.7701 3.7846 1.5186
O 0.7220 4.3535 1.5186
O 1.7061 1.4739 0.0000
O 3.1501 4.2851 0.0000
O 4.1342 1.4056 1.5186
```

Main lines, in order of rising 2θ (2θ = 15–90°):
2theta	d (Å)	I/Imax
23.97	3.712	100.0
33.35	2.686	43.6
38.29	2.351	17.3
47.36	1.919	57.9
49.08	1.856	17.9
50.68	1.801	24.9